Calculated X-ray powder pattern
Compound: Ba2Pd4Pb
Radiation: Cu Kα, 1.54184 Å
Structure: the GGA-PBE geometry in Alexandria
Lines closer than 0.1° are merged.

Most intense lines, 5° ≤ 2θ ≤ 70°, in order of rising 2θ:
| d_spacing | Position (°2θ) | Rel. int. |
| --- | --- | --- |
| 4.753 | 18.67 | 61 |
| 3.402 | 26.19 | 86 |
| 3.178 | 28.07 | 100 |
| 2.662 | 33.67 | 61 |
| 2.436 | 36.89 | 59 |
| 2.376 | 37.86 | 59 |

Cell and atoms:
abc: 6.807 6.482 6.392
angles: 63.83 58.73 57.44
Atoms (fractional coordinates):
Ba  0.250  0.250  0.250
Ba  0.750  0.750  0.750
Pd  0.174  0.826  0.826
Pd  0.228  0.228  0.772
Pd  0.772  0.772  0.228
Pd  0.826  0.174  0.174
Pb  0.500  0.500  0.500